Record 1
# NaH2PtO4
Theoretical XRD peak list, CuKα. Input: a GGA-PBE-relaxed structure.
No peak broadening, texture or thermal motion is included.

Structure:
Cell: 5.3424 5.3424 5.3424 Å, 124.20 103.22 102.08°
Positions (direct):
Na1 0.0000 0.0000 0.0000
H1 0.3108 0.5000 0.8108
H2 0.6892 0.5000 0.1892
Pt1 0.5000 0.0000 0.5000
O1 0.2925 0.2614 0.5539
O2 0.2925 0.7386 0.0311
O3 0.7075 0.2614 0.9689
O4 0.7075 0.7386 0.4461

Main lines, low angle first (5 to 70 degrees two-theta):
2θ (°), I (rel.)
18.80, 100
22.16, 83
22.26, 51
26.53, 53
34.90, 33
35.10, 60


Record 2
# NaPuHO5
Theoretical XRD peak list, CuKα. Input: a GGA-PBE-relaxed structure.
No peak broadening, texture or thermal motion is included.

Structure:
Cell: 6.0327 6.0327 7.8644 Å, 100.60 100.60 116.87°
Positions (direct):
Na1 0.0370 0.9630 0.7500
Na2 0.9630 0.0370 0.2500
Pu1 0.0000 0.5000 0.0000
Pu2 0.5000 0.0000 0.5000
H1 0.3024 0.6976 0.7500
H2 0.6976 0.3024 0.2500
O1 0.1528 0.3138 0.0727
O2 0.1957 0.8043 0.2500
O3 0.2797 0.6864 0.8968
O4 0.3138 0.1528 0.5727
O5 0.3136 0.7203 0.6032
O6 0.6864 0.2797 0.3968
O7 0.6862 0.8472 0.4273
O8 0.7203 0.3136 0.1032
O9 0.8043 0.1957 0.7500
O10 0.8472 0.6862 0.9273

Main lines, low angle first (5 to 70 degrees two-theta):
2θ (°), I (rel.)
17.25, 54
17.82, 100
23.99, 61
24.18, 21
29.85, 29
30.45, 23


Record 3
# Na3HS2O8
Theoretical XRD peak list, CuKα. Input: a GGA-PBE-relaxed structure.
No peak broadening, texture or thermal motion is included.

Structure:
Cell: 8.7622 9.7673 9.2702 Å, 90.00 108.58 90.00°
Positions (direct):
Na1 0.0000 0.0000 0.0000
Na2 0.0000 0.5000 0.5000
Na3 0.1142 0.1562 0.3690
Na4 0.1142 0.3438 0.8690
Na5 0.2386 0.0033 0.7721
Na6 0.2386 0.4967 0.2721
Na7 0.5000 0.0000 0.5000
Na8 0.5000 0.5000 0.0000
Na9 0.7614 0.5033 0.7279
Na10 0.7614 0.9967 0.2279
Na11 0.8858 0.6562 0.1310
Na12 0.8858 0.8438 0.6310
H1 0.3980 0.7343 0.3871
H2 0.3980 0.7657 0.8871
H3 0.6020 0.2343 0.1129
H4 0.6020 0.2657 0.6129
S1 0.1357 0.6802 0.9075
S2 0.1357 0.8198 0.4075
S3 0.3593 0.1907 0.1385
S4 0.3593 0.3093 0.6385
S5 0.6407 0.6907 0.3615
S6 0.6407 0.8093 0.8615
S7 0.8643 0.1802 0.5925
S8 0.8643 0.3198 0.0925
O1 0.0387 0.5908 0.7813
O2 0.0387 0.9092 0.2813
O3 0.0892 0.6738 0.3730
O4 0.0892 0.8262 0.8730
O5 0.1136 0.6372 0.0523
O6 0.1136 0.8628 0.5523
O7 0.2446 0.1247 0.0035
O8 0.2446 0.3753 0.5035
O9 0.3116 0.6648 0.9222
O10 0.3116 0.8352 0.4222
O11 0.3410 0.1399 0.2806
O12 0.3410 0.3601 0.7806
O13 0.3454 0.1580 0.6239
O14 0.3454 0.3420 0.1239
O15 0.4673 0.6505 0.3587
O16 0.4673 0.8495 0.8587
O17 0.5327 0.1505 0.1413
O18 0.5327 0.3495 0.6413
O19 0.6546 0.6580 0.8761
O20 0.6546 0.8420 0.3761
O21 0.6590 0.6399 0.2194
O22 0.6590 0.8601 0.7194
O23 0.6884 0.1648 0.5778
O24 0.6884 0.3352 0.0778
O25 0.7554 0.6247 0.4965
O26 0.7554 0.8753 0.9965
O27 0.8864 0.1372 0.4477
O28 0.8864 0.3628 0.9477
O29 0.9108 0.1738 0.1270
O30 0.9108 0.3262 0.6270
O31 0.9613 0.0908 0.7187
O32 0.9613 0.4092 0.2187

Main lines, low angle first (5 to 70 degrees two-theta):
2θ (°), I (rel.)
21.89, 53
22.19, 100
23.28, 72
24.35, 28
30.55, 53
32.33, 87


Record 4
# NaH2S2O4
Theoretical XRD peak list, CuKα. Input: a GGA-PBE-relaxed structure.
No peak broadening, texture or thermal motion is included.

Structure:
Cell: 8.2504 8.2504 5.4274 Å, 102.96 102.96 46.17°
Positions (direct):
Na1 0.2294 0.2294 0.4817
Na2 0.7706 0.7706 0.5183
H1 0.2416 0.5551 0.4459
H2 0.2509 0.5568 0.7409
H3 0.4432 0.7491 0.2591
H4 0.4449 0.7584 0.5541
S1 0.5456 0.1863 0.0780
S2 0.8137 0.4544 0.9220
S3 0.8811 0.0679 0.1541
S4 0.9321 0.1189 0.8459
O1 0.1589 0.5825 0.5781
O2 0.3774 0.4346 0.1075
O3 0.4175 0.8411 0.4219
O4 0.5335 0.0899 0.8198
O5 0.5543 0.0860 0.2786
O6 0.5654 0.6226 0.8925
O7 0.9101 0.4665 0.1802
O8 0.9140 0.4457 0.7214

Main lines, low angle first (5 to 70 degrees two-theta):
2θ (°), I (rel.)
14.96, 100
22.74, 61
23.05, 58
23.69, 87
25.61, 70
33.44, 47


Record 5
# Na2TeH5SO10
Theoretical XRD peak list, CuKα. Input: a GGA-PBE-relaxed structure.
No peak broadening, texture or thermal motion is included.

Structure:
Cell: 5.9154 5.9154 15.2514 Å, 91.75 91.75 124.59°
Positions (direct):
Na1 0.0589 0.9411 0.5000
Na2 0.3638 0.8634 0.6888
Na3 0.8634 0.3638 0.1888
Na4 0.9411 0.0589 0.0000
Te1 0.4485 0.4920 0.3056
Te2 0.4920 0.4485 0.8056
H1 0.0892 0.1497 0.6978
H2 0.1497 0.0892 0.1978
H3 0.1657 0.4224 0.4328
H4 0.3163 0.7019 0.8765
H5 0.3857 0.8762 0.3023
H6 0.4224 0.1657 0.9328
H7 0.7019 0.3163 0.3765
H8 0.8762 0.3857 0.8023
H9 0.8950 0.9334 0.3212
H10 0.9334 0.8950 0.8212
S1 0.3281 0.8136 0.0610
S2 0.8136 0.3281 0.5610
O1 0.1056 0.1666 0.2479
O2 0.1259 0.5143 0.0622
O3 0.1666 0.1056 0.7479
O4 0.2104 0.9627 0.0936
O5 0.2572 0.5885 0.8191
O6 0.2590 0.6738 0.2899
O7 0.2926 0.3669 0.4183
O8 0.3669 0.2926 0.9183
O9 0.4257 0.8978 0.9700
O10 0.5143 0.1259 0.5622
O11 0.5811 0.6250 0.6965
O12 0.5852 0.9052 0.1173
O13 0.5885 0.2572 0.3191
O14 0.6250 0.5811 0.1965
O15 0.6738 0.2590 0.7899
O16 0.7698 0.8151 0.3675
O17 0.8151 0.7698 0.8675
O18 0.8978 0.4257 0.4700
O19 0.9052 0.5852 0.6173
O20 0.9627 0.2104 0.5936

Main lines, low angle first (5 to 70 degrees two-theta):
2θ (°), I (rel.)
11.63, 49
18.25, 56
20.59, 100
21.11, 60
22.26, 67
23.38, 31